[1]
This entry pairs a crystal structure of Fe2OF3 with its theoretical powder diffraction line list. Radiation: copper Kα. Structure: a DFT-relaxed cell (GGA+U, the Materials Project).

Cell and atoms:
Cell lengths 9.340, 6.802, 7.633 Å; angles 90.00, 114.67, 90.00 degrees
Space group C2 (No. 5)
One atom of each set of equivalent atoms:
Fe (0.000, 0.000, 0.000) [2 per cell]
Fe (0.000, 0.010, 0.500) [2 per cell]
Fe (0.167, 0.480, 0.667) [4 per cell]
Fe (0.168, 0.457, 0.167) [4 per cell]
O (0.000, 0.312, 0.500) [2 per cell]
O (0.170, 0.156, 0.170) [4 per cell]
F (0.000, 0.689, 0.500) [2 per cell]
F (0.068, 0.481, 0.864) [4 per cell]
F (0.096, 0.971, 0.803) [4 per cell]
F (0.168, 0.776, 0.166) [4 per cell]
F (0.234, 0.982, 0.531) [4 per cell]

Main lines, most intense first (2θ = 10–90°):
h k l, Position (°2θ), intensity
3 1 0, 34.36, 100
0 2 0, 26.20, 98
2 0 -2, 25.50, 96
3 3 0, 51.68, 54
5 1 -2, 50.84, 31
1 1 -4, 50.96, 31
4 0 -4, 52.38, 22
5 3 -2, 64.78, 21
1 3 -4, 64.89, 20
4 0 -1, 38.91, 19

[2]
This entry pairs a crystal structure of Fe5O8F2 with its theoretical powder diffraction line list. Radiation: copper Kα. Structure: a DFT-relaxed cell (GGA+U, the Materials Project).

Cell and atoms:
Cell lengths 15.091, 4.655, 4.657 Å; angles 90.00, 90.00, 90.00 degrees
Space group Pmn2_1 (No. 31)
One atom of each set of equivalent atoms:
Fe (0.000, 0.240, 0.000) [2 per cell]
Fe (0.099, 0.770, 0.529) [4 per cell]
Fe (0.205, 0.245, 0.000) [4 per cell]
O (0.000, 0.565, 0.707) [2 per cell]
O (0.000, 0.948, 0.322) [2 per cell]
O (0.103, 0.070, 0.826) [4 per cell]
O (0.195, 0.951, 0.317) [4 per cell]
O (0.198, 0.562, 0.702) [4 per cell]
F (0.100, 0.454, 0.211) [4 per cell]

Main lines, most intense first (2θ = 10–90°):
h k l, Position (°2θ), intensity
0 1 1, 27.08, 100
5 2 1, 53.46, 58
5 1 0, 35.44, 52
5 0 3, 67.91, 20
0 2 2, 55.85, 16
5 1 1, 40.55, 14
10 1 1, 68.38, 12
0 2 0, 38.68, 10
0 3 1, 63.15, 9
10 0 0, 61.44, 8

[3]
This entry pairs a crystal structure of Fe7O3F13 with its theoretical powder diffraction line list. Radiation: copper Kα. Structure: a DFT-relaxed cell (GGA+U, the Materials Project).

Cell and atoms:
Cell lengths 6.168, 6.199, 10.599 Å; angles 106.71, 90.56, 118.57 degrees
Space group P1 (No. 1)
One atom of each set of equivalent atoms:
Fe (0.000, 0.000, 0.000) [1 per cell]
Fe (0.000, 0.498, 0.996) [1 per cell]
Fe (0.020, 0.985, 0.484) [1 per cell]
Fe (0.084, 0.640, 0.664) [1 per cell]
Fe (0.284, 0.995, 0.231) [1 per cell]
Fe (0.509, 0.514, 0.488) [1 per cell]
Fe (0.736, 0.986, 0.731) [1 per cell]
O (0.388, 0.738, 0.622) [1 per cell]
O (0.901, 0.781, 0.607) [1 per cell]
O (0.951, 0.775, 0.102) [1 per cell]
F (0.105, 0.242, 0.885) [1 per cell]
F (0.111, 0.738, 0.863) [1 per cell]
F (0.140, 0.205, 0.359) [1 per cell]
F (0.146, 0.793, 0.355) [1 per cell]
F (0.341, 0.203, 0.110) [1 per cell]
F (0.346, 0.733, 0.107) [1 per cell]
F (0.353, 0.243, 0.586) [1 per cell]
F (0.589, 0.247, 0.352) [1 per cell]
F (0.679, 0.781, 0.391) [1 per cell]
F (0.701, 0.794, 0.868) [1 per cell]
F (0.704, 0.282, 0.861) [1 per cell]
F (0.911, 0.259, 0.098) [1 per cell]
F (0.919, 0.254, 0.612) [1 per cell]

Main lines, most intense first (2θ = 10–90°):
h k l, Position (°2θ), intensity
1 -1 1, 17.75, 100
1 0 -1, 17.42, 82
1 0 3, 34.19, 74
1 0 0, 16.62, 69
0 2 -4, 41.19, 49
-2 2 2, 41.51, 47
2 0 2, 41.07, 46
0 2 4, 59.65, 38
1 -1 2, 22.43, 30
1 1 1, 33.47, 29

Repeat the first record exactly.
This entry pairs a crystal structure of Fe2OF3 with its theoretical powder diffraction line list. Radiation: copper Kα. Structure: a DFT-relaxed cell (GGA+U, the Materials Project).

Cell and atoms:
Cell lengths 9.340, 6.802, 7.633 Å; angles 90.00, 114.67, 90.00 degrees
Space group C2 (No. 5)
One atom of each set of equivalent atoms:
Fe (0.000, 0.000, 0.000) [2 per cell]
Fe (0.000, 0.010, 0.500) [2 per cell]
Fe (0.167, 0.480, 0.667) [4 per cell]
Fe (0.168, 0.457, 0.167) [4 per cell]
O (0.000, 0.312, 0.500) [2 per cell]
O (0.170, 0.156, 0.170) [4 per cell]
F (0.000, 0.689, 0.500) [2 per cell]
F (0.068, 0.481, 0.864) [4 per cell]
F (0.096, 0.971, 0.803) [4 per cell]
F (0.168, 0.776, 0.166) [4 per cell]
F (0.234, 0.982, 0.531) [4 per cell]

Main lines, most intense first (2θ = 10–90°):
h k l, Position (°2θ), intensity
3 1 0, 34.36, 100
0 2 0, 26.20, 98
2 0 -2, 25.50, 96
3 3 0, 51.68, 54
5 1 -2, 50.84, 31
1 1 -4, 50.96, 31
4 0 -4, 52.38, 22
5 3 -2, 64.78, 21
1 3 -4, 64.89, 20
4 0 -1, 38.91, 19